1.
Theoretical X-ray powder pattern
Compound: Li4Fe2Ni3Te3O16
Radiation: Cu Kα (λ = 1.5418 Å)
Structure: a PBE+U-relaxed structure

Most intense lines, 10° ≤ 2θ ≤ 80°, by angle:
two_theta	I/Imax
18.25	100.0
18.84	57.4
19.03	41.6
24.73	15.6
32.23	16.2
34.40	25.6
34.62	52.8
34.93	25.5
35.31	19.9
43.95	14.8
58.63	15.3
59.38	24.1

Structural model:
Lattice parameters (Å, degrees): 6.1158 6.1501 9.7260 89.71 89.11 60.99
Atoms (fractional coordinates):
Li  0.0000  0.0000  0.0000
Li  0.0153  0.0008  0.4799
Li  0.3324  0.3150  0.3688
Li  0.6815  0.6472  0.8967
Fe  0.3119  0.2999  0.0013
Fe  0.6216  0.6440  0.4639
Ni  0.1712  0.1453  0.7070
Ni  0.3307  0.8074  0.2053
Ni  0.8203  0.3183  0.2081
Te  0.1628  0.6413  0.7100
Te  0.6595  0.1525  0.7086
Te  0.8214  0.8088  0.2070
O  0.0436  0.4542  0.8391
O  0.1341  0.6575  0.0891
O  0.1622  0.1428  0.0943
O  0.3239  0.8296  0.5816
O  0.3578  0.2942  0.5934
O  0.4962  0.0179  0.8281
O  0.5061  0.4986  0.3319
O  0.5080  0.4451  0.8333
O  0.5250  0.9445  0.3294
O  0.6697  0.1176  0.0919
O  0.6721  0.6522  0.0983
O  0.8137  0.8509  0.5943
O  0.8179  0.3025  0.5947
O  0.9509  0.5219  0.3348
O  0.9708  0.0067  0.8130
O  0.9812  0.9707  0.2994

2.
Theoretical X-ray powder pattern
Compound: Li3MnP2O8
Radiation: Cu Kα (λ = 1.5418 Å)
Structure: a PBE+U-relaxed structure

Most intense lines, 10° ≤ 2θ ≤ 80°, by angle:
two_theta	I/Imax
12.95	62.4
24.11	100.0
25.73	46.7
30.24	11.8
32.53	42.4
35.86	37.3
37.42	14.0
37.89	26.2
53.22	14.2
56.94	8.1
59.36	8.8
60.29	13.5

Structural model:
Lattice parameters (Å, degrees): 5.0752 5.0752 13.8702 98.51 98.51 55.52
Atoms (fractional coordinates):
Li  0.0000  0.0000  0.0000
Li  0.3093  0.3570  0.5860
Li  0.3252  0.3404  0.0864
Li  0.6430  0.6907  0.4140
Li  0.6596  0.6748  0.9136
Li  0.9681  0.0319  0.5000
Mn  0.9842  0.0151  0.2501
Mn  0.9849  0.0158  0.7499
P  0.3228  0.3639  0.8668
P  0.3317  0.3538  0.3667
P  0.6361  0.6772  0.1332
P  0.6462  0.6683  0.6333
O  0.0291  0.3400  0.3345
O  0.1201  0.5458  0.9557
O  0.1947  0.5859  0.7826
O  0.2079  0.7127  0.3905
O  0.2873  0.7921  0.6095
O  0.3100  0.0602  0.8340
O  0.4141  0.8053  0.2174
O  0.4542  0.8799  0.0443
O  0.5140  0.1514  0.4556
O  0.5534  0.2257  0.2824
O  0.6600  0.9709  0.6655
O  0.6815  0.2409  0.8908
O  0.7591  0.3185  0.1092
O  0.7743  0.4466  0.7176
O  0.8486  0.4860  0.5444
O  0.9398  0.6900  0.1660